Record 1
For Pm7GeSe5, a structure optimized by DFT (PBE) gives the computed X-ray diffraction stick pattern in this record (λ = 1.5418 Å (Cu Kα)).
No peak broadening, texture or thermal motion is included.

Peak list (10 most intense, 2θ = 10–90°, by angle)
28.43°, I 79; 29.25°, I 32; 29.92°, I 100; 31.02°, I 66; 31.76°, I 40; 39.82°, I 37; 43.02°, I 30; 43.39°, I 39; 43.60°, I 35; 52.69°, I 28

Crystal structure
Lattice parameters (Å, degrees): 13.6749 4.1711 24.7403 90.00 90.01 90.00
Space group Cm (No. 8)
Unique sites:
Pm 0.0000 0.0000 0.0000 (multiplicity 2)
Pm 0.0001 0.0000 0.1381 (multiplicity 2)
Pm 0.0551 0.5000 0.8568 (multiplicity 2)
Pm 0.0556 0.5000 0.2814 (multiplicity 2)
Pm 0.1024 0.0000 0.4350 (multiplicity 2)
Pm 0.1016 0.0000 0.7029 (multiplicity 2)
Pm 0.1576 0.5000 0.5690 (multiplicity 2)
Pm 0.2300 0.5000 0.0691 (multiplicity 2)
Pm 0.2854 0.0000 0.9350 (multiplicity 2)
Pm 0.2857 0.0000 0.2032 (multiplicity 2)
Pm 0.3320 0.5000 0.7814 (multiplicity 2)
Pm 0.3326 0.5000 0.3569 (multiplicity 2)
Pm 0.3873 0.0000 0.6381 (multiplicity 2)
Pm 0.3878 0.0000 0.5000 (multiplicity 2)
Ge 0.0027 0.0000 0.5693 (multiplicity 2)
Ge 0.3850 0.0000 0.0691 (multiplicity 2)
Se 0.1413 0.5000 0.9634 (multiplicity 2)
Se 0.1415 0.5000 0.1748 (multiplicity 2)
Se 0.1935 0.0000 0.8190 (multiplicity 2)
Se 0.1941 0.0000 0.3191 (multiplicity 2)
Se 0.2459 0.5000 0.6748 (multiplicity 2)
Se 0.2465 0.5000 0.4634 (multiplicity 2)
Se 0.4173 0.5000 0.8912 (multiplicity 2)
Se 0.4177 0.5000 0.2470 (multiplicity 2)
Se 0.4705 0.0000 0.3913 (multiplicity 2)
Se 0.4699 0.0000 0.7470 (multiplicity 2)

---

Record 2
For TbPmGeSe, a structure optimized by DFT (PBE) gives the computed X-ray diffraction stick pattern in this record (λ = 1.5418 Å (Cu Kα)).
No peak broadening, texture or thermal motion is included.

Peak list (10 most intense, 2θ = 10–90°, by angle)
26.01°, I 15; 30.07°, I 100; 42.92°, I 37; 43.15°, I 37; 53.10°, I 6; 53.49°, I 20; 62.50°, I 12; 70.73°, I 16; 71.07°, I 17; 78.97°, I 12

Crystal structure
Lattice parameters (Å, degrees): 4.1925 4.1925 20.6977 90.00 90.00 120.00
Space group R3m (No. 160, hexagonal axes)
Unique sites:
Tb 0.0000 0.0000 0.0000 (multiplicity 3)
Pm 0.0000 0.0000 0.5071 (multiplicity 3)
Ge 0.0000 0.0000 0.2553 (multiplicity 3)
Se 0.0000 0.0000 0.7511 (multiplicity 3)